Diffraction record for AcAg5Au7. The powder X-ray diffraction pattern is theoretical, not measured: it uses a cell relaxed with PBE and copper Kα.
No peak broadening, texture or thermal motion is included.

Lattice parameters (Å, degrees): 7.3091 7.3091 5.7113 112.55 112.55 81.80
Sites, in units of the cell vectors:
Ac (0.0000, 0.0000, 0.0000)
Ag (0.0061, 0.5070, 0.0064)
Ag (0.0077, 0.5074, 0.5087)
Ag (0.2347, 0.2347, 0.7332)
Ag (0.5070, 0.0061, 0.0064)
Ag (0.5074, 0.0077, 0.5087)
Au (0.2200, 0.7958, 0.5078)
Au (0.3478, 0.3478, 0.3424)
Au (0.3554, 0.6605, 0.0103)
Au (0.6537, 0.6537, 0.6586)
Au (0.6605, 0.3554, 0.0103)
Au (0.7879, 0.7879, 0.2904)
Au (0.7958, 0.2200, 0.5078)

The 10 most intense peaks (10 to 80 degrees two-theta), in order of falling intensity:
2theta, d (Å), I/Imax
37.32, 2.409, 100.0
37.54, 2.396, 94.5
32.13, 2.786, 89.2
31.33, 2.855, 63.9
41.25, 2.188, 51.6
37.79, 2.381, 47.6
41.59, 2.172, 46.8
37.61, 2.392, 46.7
36.65, 2.452, 41.7
42.03, 2.150, 40.8